(1)
Theoretical XRD peak list of Sr4Mn2Ga2O11 for a wavelength of 1.5418 Å, from DFT lattice parameters and positions (PBE+U).
Kinematic intensities with the Lorentz-polarization factor, no thermal factor.

Top 6 peaks for 2θ from 10° to 90°, most intense first:
2theta  d [Å]  I (rel.)  index
32.8  2.731  100  2 0 4
31.8  2.814  97  2 2 0
32.5  2.753  84  0 2 4
57.0  1.617  40  2 4 4
45.2  2.006  37  0 4 0
57.5  1.604  36  4 2 4

Cell and atoms:
```
data_Sr4Mn2Ga2O11
_chemical_formula_sum 'Sr16 Mn8 Ga8 O44'
_cell_length_a 7.8923
_cell_length_b 8.0254
_cell_length_c 15.1308
_cell_angle_alpha 90.00
_cell_angle_beta 90.00
_cell_angle_gamma 90.00
_space_group_name_H-M_alt 'F m m m'
_space_group_IT_number 69
_space_group_name_Hall '-F 2 2'
loop_
_atom_site_label
_atom_site_type_symbol
_atom_site_fract_x
_atom_site_fract_y
_atom_site_fract_z
Sr1 Sr 0.0000 0.2491 0.1272
Mn1 Mn 0.2500 0.0000 0.2500
Ga1 Ga 0.2314 0.0000 0.0000
O1 O 0.0000 0.0000 0.0000
O2 O 0.0000 0.0000 0.2270
O3 O 0.2011 0.0000 0.3770
O4 O 0.2500 0.2500 0.0000
O5 O 0.2500 0.2500 0.2500
```

(2)
Theoretical XRD peak list of Sr2MnGaO5 for a wavelength of 1.5418 Å, from DFT lattice parameters and positions (PBE+U).
Kinematic intensities with the Lorentz-polarization factor, no thermal factor.

Top 6 peaks for 2θ from 10° to 90°, most intense first:
2theta  d [Å]  I (rel.)  index
31.5  2.839  100  0 4 1
31.7  2.826  86  2 4 -1
32.2  2.779  59  2 0 0
32.5  2.751  58  2 0 -2
44.1  2.054  32  0 8 0
46.2  1.964  31  0 0 2

Cell and atoms:
```
data_Sr2MnGaO5
_chemical_formula_sum 'Sr8 Mn4 Ga4 O20'
_cell_length_a 7.7882
_cell_length_b 16.4337
_cell_length_c 5.5031
_cell_angle_alpha 90.00
_cell_angle_beta 134.47
_cell_angle_gamma 90.00
_space_group_name_H-M_alt 'C 1 2/m 1'
_space_group_IT_number 12
loop_
_space_group_symop_operation_xyz
'x,y,z'
'-x,-y,-z'
'-x,y,-z'
'x,-y,z'
'x+1/2,y+1/2,z'
'-x+1/2,-y+1/2,-z'
'-x+1/2,y+1/2,-z'
'x+1/2,-y+1/2,z'
loop_
_atom_site_label
_atom_site_type_symbol
_atom_site_fract_x
_atom_site_fract_y
_atom_site_fract_z
Sr1 Sr 0.2344 0.1386 0.4710
Mn1 Mn 0.2500 0.2500 0.0000
Ga1 Ga 0.1844 0.5000 0.0057
O1 O 0.0000 0.2520 0.5000
O2 O 0.0000 0.2569 0.0000
O3 O 0.1637 0.5000 0.3399
O4 O 0.2184 0.1038 0.9858
```

(3)
Theoretical XRD peak list of Sr2MnGaO5 for a wavelength of 1.5418 Å, from DFT lattice parameters and positions (PBE+U).
Kinematic intensities with the Lorentz-polarization factor, no thermal factor.

Top 6 peaks for 2θ from 10° to 90°, most intense first:
2theta  d [Å]  I (rel.)  index
31.8  2.816  100  0 2 -1
32.7  2.735  32  2 0 -1
31.9  2.805  26  1 1 -3
45.0  2.014  15  0 0 4
46.3  1.960  14  2 2 -2
46.1  1.967  14  2 -2 0

Cell and atoms:
```
data_Sr2MnGaO5
_chemical_formula_sum 'Sr4 Mn2 Ga2 O10'
_cell_length_a 5.4706
_cell_length_b 5.6428
_cell_length_c 8.9490
_cell_angle_alpha 108.17
_cell_angle_beta 107.66
_cell_angle_gamma 90.21
_space_group_name_H-M_alt 'P 1'
_space_group_IT_number 1
loop_
_space_group_symop_operation_xyz
'x,y,z'
loop_
_atom_site_label
_atom_site_type_symbol
_atom_site_fract_x
_atom_site_fract_y
_atom_site_fract_z
Sr1 Sr 0.0000 0.0000 0.0000
Sr2 Sr 0.2230 0.1851 0.4459
Sr3 Sr 0.5015 0.4663 0.0006
Sr4 Sr 0.7241 0.7187 0.4454
Mn1 Mn 0.1164 0.5927 0.2230
Mn2 Mn 0.6163 0.0925 0.2231
Ga1 Ga 0.3254 0.7705 0.7192
Ga2 Ga 0.8287 0.4145 0.7266
O1 O 0.2739 0.7760 0.5042
O2 O 0.3566 0.8360 0.2100
O3 O 0.3739 0.3464 0.2386
O4 O 0.4825 0.4709 0.7222
O5 O 0.4916 0.0007 0.9260
O6 O 0.7896 0.1847 0.5198
O7 O 0.8557 0.8341 0.2070
O8 O 0.8735 0.3540 0.2363
O9 O 0.9831 0.7146 0.7235
O10 O 0.9919 0.4092 0.9416
```

(4)
Theoretical XRD peak list of Sr2MnGaO5 for a wavelength of 1.5418 Å, from DFT lattice parameters and positions (PBE+U).
Kinematic intensities with the Lorentz-polarization factor, no thermal factor.

Top 6 peaks for 2θ from 10° to 90°, most intense first:
2theta  d [Å]  I (rel.)  index
31.7  2.824  100  4 1 1
32.9  2.722  31  0 0 2
46.5  1.954  29  0 2 2
31.9  2.807  27  0 2 0
58.0  1.590  18  4 1 3
56.7  1.624  16  4 3 1

Cell and atoms:
```
data_Sr2MnGaO5
_chemical_formula_sum 'Sr8 Mn4 Ga4 O20'
_cell_length_a 16.3411
_cell_length_b 5.6141
_cell_length_c 5.4431
_cell_angle_alpha 90.00
_cell_angle_beta 90.00
_cell_angle_gamma 90.00
_space_group_name_H-M_alt 'I m a 2'
_space_group_IT_number 46
loop_
_space_group_symop_operation_xyz
'x,y,z'
'-x,-y,z'
'-x+1/2,y,z'
'x+1/2,-y,z'
'x+1/2,y+1/2,z+1/2'
'-x+1/2,-y+1/2,z+1/2'
'-x,y+1/2,z+1/2'
'x,-y+1/2,z+1/2'
loop_
_atom_site_label
_atom_site_type_symbol
_atom_site_fract_x
_atom_site_fract_y
_atom_site_fract_z
Sr1 Sr 0.1127 0.0160 0.0000
Mn1 Mn 0.0000 0.0000 0.5035
Ga1 Ga 0.2500 0.5681 0.9657
O1 O 0.0064 0.7477 0.7524
O2 O 0.1457 0.0497 0.5248
O3 O 0.2500 0.6270 0.6193
```

(5)
Theoretical XRD peak list of Sr2MnGaO5 for a wavelength of 1.5418 Å, from DFT lattice parameters and positions (PBE+U).
Kinematic intensities with the Lorentz-polarization factor, no thermal factor.

Top 6 peaks for 2θ from 10° to 90°, most intense first:
2theta  d [Å]  I (rel.)  index
31.4  2.845  100  0 4 1
31.7  2.824  78  2 4 -1
32.4  2.765  56  2 0 0
32.6  2.743  55  2 0 -2
46.3  1.962  32  0 0 2
43.8  2.067  31  0 8 0

Cell and atoms:
```
data_Sr2MnGaO5
_chemical_formula_sum 'Sr8 Mn4 Ga4 O20'
_cell_length_a 7.7350
_cell_length_b 16.5340
_cell_length_c 5.4868
_cell_angle_alpha 90.00
_cell_angle_beta 134.36
_cell_angle_gamma 90.00
_space_group_name_H-M_alt 'C 1 2/m 1'
_space_group_IT_number 12
loop_
_space_group_symop_operation_xyz
'x,y,z'
'-x,-y,-z'
'-x,y,-z'
'x,-y,z'
'x+1/2,y+1/2,z'
'-x+1/2,-y+1/2,-z'
'-x+1/2,y+1/2,-z'
'x+1/2,-y+1/2,z'
loop_
_atom_site_label
_atom_site_type_symbol
_atom_site_fract_x
_atom_site_fract_y
_atom_site_fract_z
Sr1 Sr 0.2353 0.1384 0.4722
Mn1 Mn 0.2500 0.2500 0.0000
Ga1 Ga 0.1853 0.5000 0.0055
O1 O 0.0000 0.2518 0.5000
O2 O 0.0000 0.2559 0.0000
O3 O 0.1656 0.5000 0.3416
O4 O 0.2199 0.1037 0.9878
```

(6)
Theoretical XRD peak list of YMnGaO5 for a wavelength of 1.5418 Å, from DFT lattice parameters and positions (PBE+U).
Kinematic intensities with the Lorentz-polarization factor, no thermal factor.

Top 6 peaks for 2θ from 10° to 90°, most intense first:
2theta  d [Å]  I (rel.)  index
30.6  2.924  100  2 1 1
28.7  3.115  77  1 2 1
33.7  2.661  43  1 3 0
35.0  2.560  35  1 1 2
45.3  2.003  33  3 2 1
59.4  1.556  29  4 0 2

Cell and atoms:
```
data_YMnGaO5
_chemical_formula_sum 'Y4 Mn4 Ga4 O20'
_cell_length_a 7.3934
_cell_length_b 8.5564
_cell_length_c 5.7592
_cell_angle_alpha 90.00
_cell_angle_beta 90.00
_cell_angle_gamma 90.00
_space_group_name_H-M_alt 'P b a m'
_space_group_IT_number 55
loop_
_space_group_symop_operation_xyz
'x,y,z'
'-x,-y,-z'
'-x,-y,z'
'x,y,-z'
'x+1/2,-y+1/2,-z'
'-x+1/2,y+1/2,z'
'-x+1/2,y+1/2,-z'
'x+1/2,-y+1/2,z'
loop_
_atom_site_label
_atom_site_type_symbol
_atom_site_fract_x
_atom_site_fract_y
_atom_site_fract_z
Y1 Y 0.1335 0.1684 0.0000
Mn1 Mn 0.0000 0.5000 0.2514
Ga1 Ga 0.1096 0.8539 0.5000
O1 O 0.0000 0.0000 0.2717
O2 O 0.1080 0.7062 0.2418
O3 O 0.1495 0.4280 0.5000
O4 O 0.1601 0.4418 0.0000
```

(7)
Theoretical XRD peak list of Sr2GaMo2O7 for a wavelength of 1.5418 Å, from DFT lattice parameters and positions (PBE+U).
Kinematic intensities with the Lorentz-polarization factor, no thermal factor.

Top 6 peaks for 2θ from 10° to 90°, most intense first:
2theta  d [Å]  I (rel.)  index
32.8  2.733  100  5 1 1
45.3  2.001  45  2 2 -2
27.4  3.258  44  3 1 1
32.1  2.790  41  0 2 0
31.1  2.871  36  2 0 -2
23.6  3.769  30  3 1 -1

Cell and atoms:
```
data_Sr2GaMo2O7
_chemical_formula_sum 'Sr8 Ga4 Mo8 O28'
_cell_length_a 23.1603
_cell_length_b 5.5798
_cell_length_c 5.7429
_cell_angle_alpha 90.00
_cell_angle_beta 104.31
_cell_angle_gamma 90.00
_space_group_name_H-M_alt 'C 1 2 1'
_space_group_IT_number 5
loop_
_space_group_symop_operation_xyz
'x,y,z'
'-x,y,-z'
'x+1/2,y+1/2,z'
'-x+1/2,y+1/2,-z'
loop_
_atom_site_label
_atom_site_type_symbol
_atom_site_fract_x
_atom_site_fract_y
_atom_site_fract_z
Sr1 Sr 0.1506 0.0000 0.1321
Sr2 Sr 0.1508 0.5016 0.6733
Ga1 Ga 0.2479 0.5374 0.3224
Mo1 Mo 0.0621 0.9971 0.5622
Mo2 Mo 0.0696 0.4966 0.0730
O1 O 0.0679 0.7568 0.8094
O2 O 0.0740 0.2451 0.8194
O3 O 0.0753 0.2362 0.3374
O4 O 0.0824 0.7496 0.3366
O5 O 0.1709 0.4825 0.1324
O6 O 0.1815 0.9663 0.7487
O7 O 0.2497 0.3756 0.6162
```

(8)
Theoretical XRD peak list of Ga2Te2MoO10 for a wavelength of 1.5418 Å, from DFT lattice parameters and positions (PBE+U).
Kinematic intensities with the Lorentz-polarization factor, no thermal factor.

Top 6 peaks for 2θ from 10° to 90°, most intense first:
2theta  d [Å]  I (rel.)  index
24.7  3.599  100  1 1 3
35.4  2.539  25  2 2 0
34.8  2.578  20  3 0 3
50.7  1.799  19  2 2 6
48.9  1.864  15  1 3 3
35.5  2.530  14  1 2 3

Cell and atoms:
```
data_Ga2Te2MoO10
_chemical_formula_sum 'Ga8 Te8 Mo4 O40'
_cell_length_a 8.9650
_cell_length_b 6.1613
_cell_length_c 15.3024
_cell_angle_alpha 90.00
_cell_angle_beta 90.00
_cell_angle_gamma 90.00
_space_group_name_H-M_alt 'P n m a'
_space_group_IT_number 62
loop_
_space_group_symop_operation_xyz
'x,y,z'
'-x,-y,-z'
'-x+1/2,-y,z+1/2'
'x+1/2,y,-z+1/2'
'x+1/2,-y+1/2,-z+1/2'
'-x+1/2,y+1/2,z+1/2'
'-x,y+1/2,-z'
'x,-y+1/2,z'
loop_
_atom_site_label
_atom_site_type_symbol
_atom_site_fract_x
_atom_site_fract_y
_atom_site_fract_z
Ga1 Ga 0.0061 0.0044 0.1478
Te1 Te 0.1881 0.7500 0.3158
Te2 Te 0.2457 0.2500 0.4916
Mo1 Mo 0.1745 0.7500 0.6643
O1 O 0.0853 0.7500 0.7754
O2 O 0.0910 0.5288 0.6109
O3 O 0.0962 0.2500 0.7962
O4 O 0.0964 0.7500 0.0767
O5 O 0.1254 0.2500 0.1047
O6 O 0.1670 0.5144 0.2343
O7 O 0.1751 0.5169 0.9242
```